(1)
Calculated X-ray diffraction stick pattern
Compound: Nd2Sm2Y4Tm
Radiation: Cu Ka
Structure: a PBE-relaxed structure

Main lines, by intensity (10° ≤ 2θ ≤ 90°):
(hkl), Position (°2θ), d_spacing, I (rel.)
3 1 -2, 31.6, 2.831, 100
3 1 1, 33.3, 2.693, 89
0 0 3, 30.8, 2.901, 48
6 0 -1, 28.6, 3.120, 46
0 2 3, 60.2, 1.538, 42
0 2 0, 50.3, 1.814, 37

Structure:
```
data_Nd2Sm2Y4Tm
_cell_length_a 18.845
_cell_length_b 3.631
_cell_length_c 9.659
_cell_angle_alpha 90.00
_cell_angle_beta 115.71
_cell_angle_gamma 90.00
_space_group_name_H-M_alt 'C 1 2/m 1'
_space_group_IT_number 12
loop_
_space_group_symop_operation_xyz
'x,y,z'
'-x,-y,-z'
'-x,y,-z'
'x,-y,z'
'x+1/2,y+1/2,z'
'-x+1/2,-y+1/2,-z'
'-x+1/2,y+1/2,-z'
'x+1/2,-y+1/2,z'
loop_
_atom_site_label
_atom_site_fract_x
_atom_site_fract_y
_atom_site_fract_z
Nd1 0.165 0.000 0.499
Sm1 0.148 0.500 0.164
Y1 0.019 0.000 0.832
Y2 0.185 0.500 0.834
Tm1 0.000 0.500 0.500
```

=====

(2)
Calculated X-ray diffraction stick pattern
Compound: Tb3Si3Pt2
Radiation: Cu Ka
Structure: a PBE-relaxed structure

Main lines, by intensity (10° ≤ 2θ ≤ 90°):
(hkl), Position (°2θ), d_spacing, I (rel.)
1 1 4, 33.9, 2.648, 100
1 3 4, 42.1, 2.148, 29
2 0 0, 42.2, 2.143, 27
0 4 3, 39.5, 2.280, 23
1 3 3, 38.4, 2.343, 23
1 1 3, 29.4, 3.041, 21

Structure:
```
data_Tb3Si3Pt2
_cell_length_a 4.285
_cell_length_b 10.396
_cell_length_c 14.237
_cell_angle_alpha 90.00
_cell_angle_beta 90.00
_cell_angle_gamma 90.00
_space_group_name_H-M_alt 'C m c m'
_space_group_IT_number 63
_space_group_name_Hall '-C 2c 2'
loop_
_atom_site_label
_atom_site_fract_x
_atom_site_fract_y
_atom_site_fract_z
Tb1 0.000 0.092 0.111
Tb2 0.000 0.372 0.250
Si1 0.000 0.332 0.750
Si2 0.000 0.387 0.035
Pt1 0.000 0.195 0.601
```